Diffraction record for LiNpSi4. The powder diffractogram is calculated, not measured: it uses a cell relaxed with GGA-PBE and Cu Ka.
Intensities are scaled so that the largest is 100.

The 10 most intense peaks (10 to 80 degrees two-theta), in order of falling intensity:
h k l	two_theta	d/Å	I_rel
0 1 1	17.8	4.971	100
1 2 1	38.0	2.369	57
1 1 0	26.7	3.342	53
1 1 2	35.3	2.540	47
0 2 2	36.1	2.485	30
1 0 1	25.5	3.496	29
1 0 3	41.7	2.168	29
0 1 3	37.2	2.415	23
0 0 2	22.8	3.907	22
0 1 5	61.0	1.519	17

Structure:
a b c (Å): 3.9097 6.4426 7.8139
angles (deg): 90.00 90.00 90.00
Sites, in units of the cell vectors:
Li (0.0000, 0.0000, 0.0000)
Li (0.5000, 0.5000, 0.5000)
Np (0.0000, 0.5000, 0.8893)
Np (0.5000, 0.0000, 0.3893)
Si (0.0000, 0.2436, 0.5845)
Si (0.0000, 0.3114, 0.2652)
Si (0.0000, 0.6886, 0.2652)
Si (0.0000, 0.7564, 0.5845)
Si (0.5000, 0.1886, 0.7652)
Si (0.5000, 0.2564, 0.0845)
Si (0.5000, 0.7436, 0.0845)
Si (0.5000, 0.8114, 0.7652)


Diffraction record for Pr3Ga2BIr3. The powder diffractogram is calculated, not measured: it uses a cell relaxed with GGA-PBE and Cu Ka.
Intensities are scaled so that the largest is 100.

The 10 most intense peaks (10 to 80 degrees two-theta), in order of falling intensity:
h k l	two_theta	d/Å	I_rel
1 1 1	34.1	2.629	100
2 1 0	37.3	2.412	73
2 1 1	44.7	2.029	36
2 1 2	62.7	1.481	32
2 0 1	37.0	2.431	28
1 0 1	27.6	3.235	24
4 1 1	72.4	1.306	18
1 0 0	13.9	6.382	18
0 0 2	48.5	1.876	18
3 1 1	57.6	1.601	17

Structure:
a b c (Å): 7.3688 7.3688 3.7522
angles (deg): 90.00 90.00 120.00
Sites, in units of the cell vectors:
Pr (0.0000, 0.6202, 0.0000)
Pr (0.3798, 0.3798, 0.0000)
Pr (0.6202, 0.0000, 0.0000)
Ga (0.3333, 0.6667, 0.5000)
Ga (0.6667, 0.3333, 0.5000)
B (0.0000, 0.0000, 0.0000)
Ir (0.0000, 0.2161, 0.5000)
Ir (0.2161, 0.0000, 0.5000)
Ir (0.7839, 0.7839, 0.5000)


Diffraction record for Na3Li2Sn3. The powder diffractogram is calculated, not measured: it uses a cell relaxed with GGA-PBE and Cu Ka.
Intensities are scaled so that the largest is 100.

The 10 most intense peaks (10 to 80 degrees two-theta), in order of falling intensity:
h k l	two_theta	d/Å	I_rel
1 1 0	18.9	4.705	100
3 1 1	34.2	2.622	91
5 1 -1	34.4	2.606	89
0 2 0	36.6	2.455	42
2 0 1	24.9	3.571	42
4 0 -1	25.1	3.542	41
2 0 -2	38.6	2.334	37
1 1 1	28.5	3.136	31
3 1 -1	28.6	3.122	30
2 2 -2	54.2	1.691	27

Structure:
a b c (Å): 17.0842 4.9095 4.6675
angles (deg): 90.00 105.38 90.00
Sites, in units of the cell vectors:
Na (0.0000, 0.0000, 0.0000)
Na (0.1350, 0.0000, 0.6356)
Na (0.3650, 0.5000, 0.3644)
Na (0.5000, 0.5000, 0.0000)
Na (0.6350, 0.5000, 0.6356)
Na (0.8650, 0.0000, 0.3644)
Li (0.2471, 0.0000, 0.2477)
Li (0.2529, 0.5000, 0.7523)
Li (0.7471, 0.5000, 0.2477)
Li (0.7529, 0.0000, 0.7523)
Sn (0.0000, 0.5000, 0.5000)
Sn (0.1421, 0.5000, 0.1425)
Sn (0.3579, 0.0000, 0.8575)
Sn (0.5000, 0.0000, 0.5000)
Sn (0.6421, 0.0000, 0.1425)
Sn (0.8579, 0.5000, 0.8575)